Theoretical X-ray diffraction stick pattern of LaMn3B4O12 for Cu Kα (λ = 1.5418 Å), from a cell relaxed with PBE+U.
Intensities are scaled so that the largest is 100.

Atomic structure:
a b c (Å): 6.0993 6.0993 6.0993
angles (deg): 103.77 103.77 103.77
Fractional positions:
La (0.0000, 0.0000, 0.0000)
Mn (0.0000, 0.5566, 0.4434)
Mn (0.4434, 0.0000, 0.5566)
Mn (0.5566, 0.4434, 0.0000)
B (0.0596, 0.5000, 0.9404)
B (0.5000, 0.5000, 0.5000)
B (0.5000, 0.9404, 0.0596)
B (0.9404, 0.0596, 0.5000)
O (0.0304, 0.6239, 0.7810)
O (0.0866, 0.9134, 0.5000)
O (0.2190, 0.3761, 0.9696)
O (0.3547, 0.6453, 0.5000)
O (0.3761, 0.9696, 0.2190)
O (0.5000, 0.0866, 0.9134)
O (0.5000, 0.3547, 0.6453)
O (0.6239, 0.7810, 0.0304)
O (0.6453, 0.5000, 0.3547)
O (0.7810, 0.0304, 0.6239)
O (0.9134, 0.5000, 0.0866)
O (0.9696, 0.2190, 0.3761)

Most intense lines, 2θ = 10–80°, low angle first:
2θ 15.75, d = 5.628 Å, intensity 24
2θ 18.49, d = 4.799 Å, intensity 22
2θ 24.38, d = 3.651 Å, intensity 76
2θ 30.77, d = 2.906 Å, intensity 28
2θ 31.80, d = 2.814 Å, intensity 100
2θ 37.04, d = 2.427 Å, intensity 18
2θ 37.48, d = 2.399 Å, intensity 22
2θ 45.97, d = 1.974 Å, intensity 25
2θ 52.37, d = 1.747 Å, intensity 25
2θ 52.70, d = 1.737 Å, intensity 19